Calculated powder diffractogram
Compound: LiNi2O4
Radiation: Cu Kα
Structure: DFT lattice parameters and positions (GGA+U)
Kinematic intensities with the Lorentz-polarization factor, no thermal factor.

Crystal structure
Cell: 8.113 8.113 8.113 Å, 90.00 90.00 90.00°
Element x y z (fractional)
Li 0.006 0.006 0.006
Li 0.244 0.244 0.244
Li 0.256 0.756 0.744
Li 0.494 0.994 0.506
Li 0.506 0.494 0.994
Li 0.744 0.256 0.756
Li 0.756 0.744 0.256
Li 0.994 0.506 0.494
Ni 0.116 0.134 0.625
Ni 0.125 0.384 0.866
Ni 0.125 0.875 0.375
Ni 0.134 0.625 0.116
Ni 0.366 0.375 0.616
Ni 0.375 0.125 0.875
Ni 0.375 0.616 0.366
Ni 0.384 0.866 0.125
Ni 0.616 0.366 0.375
Ni 0.625 0.116 0.134
Ni 0.625 0.625 0.625
Ni 0.634 0.875 0.884
Ni 0.866 0.125 0.384
Ni 0.875 0.375 0.125
Ni 0.875 0.884 0.634
Ni 0.884 0.634 0.875
O 0.095 0.127 0.395
O 0.105 0.905 0.627
O 0.117 0.617 0.883
O 0.123 0.155 0.855
O 0.127 0.395 0.095
O 0.133 0.367 0.633
O 0.145 0.623 0.345
O 0.155 0.855 0.123
O 0.345 0.145 0.623
O 0.355 0.377 0.845
O 0.367 0.633 0.133
O 0.373 0.605 0.595
O 0.377 0.845 0.355
O 0.383 0.383 0.383
O 0.395 0.095 0.127
O 0.405 0.873 0.895
O 0.595 0.373 0.605
O 0.605 0.595 0.373
O 0.617 0.883 0.117
O 0.623 0.345 0.145
O 0.627 0.105 0.905
O 0.633 0.133 0.367
O 0.645 0.877 0.655
O 0.655 0.645 0.877
O 0.845 0.355 0.377
O 0.855 0.123 0.155
O 0.867 0.867 0.867
O 0.873 0.895 0.405
O 0.877 0.655 0.645
O 0.883 0.117 0.617
O 0.895 0.405 0.873
O 0.905 0.627 0.105

Peak list (8 most intense, 2θ from 5° to 70°, by intensity)
(hkl)	2θ (°)	Rel. int.
1 1 1	18.95	100.0
4 0 0	44.68	49.7
3 1 1	36.74	47.6
4 4 0	65.03	28.4
5 1 1	59.18	18.7
2 2 2	38.44	15.4
5 3 1	68.41	13.8
3 3 1	48.94	10.9